# 1
Structure and calculated powder diffractogram of SrMg2Sc (DFT lattice parameters and positions (GGA-PBE); Cu Kα X-rays).

Structural model:
Cell lengths 3.8248, 3.8409, 7.9483 Å; angles 90.00, 90.00, 90.00 degrees
Atoms (fractional coordinates):
Sr1 0.0000 0.0000 0.0000
Mg1 0.5000 0.5000 0.2967
Mg2 0.5000 0.5000 0.7033
Sc1 0.0000 0.0000 0.5000

Main lines, in order of rising 2θ (10° ≤ 2θ ≤ 90°):
d (Å), 2θ/deg, intensity
3.974, 22.37, 17.0
3.833, 23.21, 25.3
3.452, 25.81, 19.3
2.759, 32.45, 100.0
2.710, 33.05, 52.3
2.239, 40.28, 14.2
1.576, 58.59, 17.2
1.572, 58.72, 17.0

=====

# 2
Structure and calculated powder diffractogram of ErNp3P4 (DFT lattice parameters and positions (GGA-PBE); Cu Kα X-rays).

Structural model:
Cell lengths 7.9226, 11.1885, 3.9568 Å; angles 90.00, 90.00, 90.00 degrees
Atoms (fractional coordinates):
Er1 0.0000 0.0000 0.0000
Er2 0.5000 0.5000 0.0000
Np1 0.0000 0.5000 0.0000
Np2 0.2500 0.2500 0.5000
Np3 0.2500 0.7500 0.5000
Np4 0.5000 0.0000 0.0000
Np5 0.7500 0.2500 0.5000
Np6 0.7500 0.7500 0.5000
P1 0.0000 0.2507 0.0000
P2 0.0000 0.7493 0.0000
P3 0.2477 0.5000 0.5000
P4 0.2523 0.0000 0.5000
P5 0.5000 0.2493 0.0000
P6 0.5000 0.7507 0.0000
P7 0.7477 0.0000 0.5000
P8 0.7523 0.5000 0.5000

Main lines, in order of rising 2θ (10° ≤ 2θ ≤ 90°):
d (Å), 2θ/deg, intensity
3.232, 27.60, 100.0
2.799, 31.98, 93.7
1.979, 45.85, 69.5
1.688, 54.36, 49.5
1.616, 56.99, 24.5
1.284, 73.79, 20.4
1.252, 76.02, 21.4
1.143, 84.86, 20.7

=====

# 3
Structure and calculated powder diffractogram of KNpP2Se8 (DFT lattice parameters and positions (GGA-PBE); Cu Kα X-rays).

Structural model:
Cell lengths 10.4549, 10.4549, 10.4549 Å; angles 36.13, 36.13, 36.13 degrees
Atoms (fractional coordinates):
K1 0.0000 0.0000 0.0000
Np1 0.5000 0.5000 0.5000
P1 0.2468 0.2468 0.2468
P2 0.7532 0.7532 0.7532
Se1 0.0976 0.4340 0.8029
Se2 0.1971 0.9024 0.5660
Se3 0.3199 0.3199 0.3199
Se4 0.4340 0.8029 0.0976
Se5 0.5660 0.1971 0.9024
Se6 0.6801 0.6801 0.6801
Se7 0.8029 0.0976 0.4340
Se8 0.9024 0.5660 0.1971

Main lines, in order of rising 2θ (10° ≤ 2θ ≤ 90°):
d (Å), 2θ/deg, intensity
5.515, 16.07, 39.0
4.456, 19.93, 42.0
4.054, 21.93, 45.9
3.075, 29.04, 64.5
2.701, 33.17, 100.0
1.950, 46.58, 48.6
1.872, 48.64, 43.7
1.351, 69.61, 18.4

=====

# 4
Structure and calculated powder diffractogram of LaSiTc2Ge2 (DFT lattice parameters and positions (GGA-PBE); Cu Kα X-rays).

Structural model:
Cell lengths 4.5108, 4.5108, 5.6983 Å; angles 90.00, 90.00, 90.00 degrees
Atoms (fractional coordinates):
La1 0.0000 0.0000 0.0000
Si1 0.0000 0.0000 0.5000
Tc1 0.0000 0.5000 0.5000
Tc2 0.5000 0.0000 0.5000
Ge1 0.5000 0.5000 0.2349
Ge2 0.5000 0.5000 0.7651

Main lines, in order of rising 2θ (10° ≤ 2θ ≤ 90°):
d (Å), 2θ/deg, intensity
3.537, 25.18, 15.3
2.783, 32.16, 100.0
2.409, 37.33, 62.4
2.255, 39.97, 70.1
1.646, 55.84, 38.2
1.595, 57.81, 23.3
1.384, 67.72, 27.5
1.204, 79.59, 17.4

=====

# 5
Structure and calculated powder diffractogram of KSr2SiSe4 (DFT lattice parameters and positions (GGA-PBE); Cu Kα X-rays).

Structural model:
Cell lengths 8.6695, 8.6695, 8.5907 Å; angles 119.68, 119.68, 90.16 degrees
Atoms (fractional coordinates):
K1 0.0000 0.0000 0.0000
K2 0.0000 0.0000 0.5000
Sr1 0.0000 0.5000 0.0000
Sr2 0.5000 0.0000 0.5000
Sr3 0.5000 0.5000 0.0000
Sr4 0.5000 0.5000 0.5000
Si1 0.0000 0.5000 0.5000
Si2 0.5000 0.0000 0.0000
Se1 0.2176 0.2988 0.5084
Se2 0.2523 0.7457 0.5180
Se3 0.2543 0.7477 0.9820
Se4 0.2988 0.2176 0.0084
Se5 0.7012 0.7824 0.9916
Se6 0.7457 0.2523 0.0180
Se7 0.7477 0.2543 0.4820
Se8 0.7824 0.7012 0.4916

Main lines, in order of rising 2θ (10° ≤ 2θ ≤ 90°):
d (Å), 2θ/deg, intensity
3.695, 24.09, 8.4
3.064, 29.15, 100.0
2.820, 31.73, 13.0
2.182, 41.37, 13.7
2.168, 41.67, 39.9
2.148, 42.07, 12.4
1.779, 51.37, 10.8
1.760, 51.97, 9.7

=====

# 6
Structure and calculated powder diffractogram of Tl2WI4Cl2 (DFT lattice parameters and positions (GGA-PBE); Cu Kα X-rays).

Structural model:
Cell lengths 7.5006, 7.5006, 6.7214 Å; angles 96.17, 96.17, 66.28 degrees
Atoms (fractional coordinates):
Tl1 0.1524 0.1524 0.3518
Tl2 0.8476 0.8476 0.6482
W1 0.5000 0.5000 0.5000
I1 0.1534 0.6334 0.2579
I2 0.3666 0.8466 0.7421
I3 0.6334 0.1534 0.2579
I4 0.8466 0.3666 0.7421
Cl1 0.3600 0.3600 0.7018
Cl2 0.6400 0.6400 0.2982

Main lines, in order of rising 2θ (10° ≤ 2θ ≤ 90°):
d (Å), 2θ/deg, intensity
6.666, 13.28, 76.3
3.705, 24.02, 42.2
3.408, 26.15, 32.1
3.138, 28.45, 69.6
3.086, 28.93, 35.5
2.963, 30.16, 100.0
2.437, 36.89, 32.9
2.309, 39.02, 32.1

=====

# 7
Structure and calculated powder diffractogram of Rb2HgCl5 (DFT lattice parameters and positions (GGA-PBE); Cu Kα X-rays).

Structural model:
Cell lengths 8.9639, 10.9427, 7.0585 Å; angles 90.00, 129.18, 90.00 degrees
Atoms (fractional coordinates):
Rb1 0.0000 0.2488 0.0000
Rb2 0.0000 0.7512 0.0000
Rb3 0.5000 0.2512 0.0000
Rb4 0.5000 0.7488 0.0000
Hg1 0.0382 0.5000 0.5016
Hg2 0.5382 0.0000 0.5016
Cl1 0.2215 0.5000 0.9608
Cl2 0.2655 0.0000 0.0422
Cl3 0.3371 0.5000 0.5044
Cl4 0.4936 0.2297 0.5011
Cl5 0.4936 0.7703 0.5011
Cl6 0.7215 0.0000 0.9608
Cl7 0.7655 0.5000 0.0422
Cl8 0.8371 0.0000 0.5044
Cl9 0.9936 0.2703 0.5011
Cl10 0.9936 0.7297 0.5011

Main lines, in order of rising 2θ (10° ≤ 2θ ≤ 90°):
d (Å), 2θ/deg, intensity
5.857, 15.13, 100.0
3.869, 22.99, 30.9
3.469, 25.68, 59.5
3.228, 27.63, 34.8
2.787, 32.11, 22.8
2.736, 32.74, 54.2
2.150, 42.02, 20.6
1.935, 46.96, 22.8

=====

# 8
Structure and calculated powder diffractogram of Mg2TlRh (DFT lattice parameters and positions (GGA-PBE); Cu Kα X-rays).

Structural model:
Cell lengths 4.0541, 4.1540, 8.7209 Å; angles 90.00, 90.00, 90.00 degrees
Atoms (fractional coordinates):
Mg1 0.0000 0.0000 0.0000
Mg2 0.0000 0.5000 0.2470
Mg3 0.5000 0.0000 0.7470
Mg4 0.5000 0.5000 0.5000
Tl1 0.0000 0.0000 0.4948
Tl2 0.5000 0.5000 0.9948
Rh1 0.0000 0.5000 0.7454
Rh2 0.5000 0.0000 0.2454

Main lines, in order of rising 2θ (10° ≤ 2θ ≤ 90°):
d (Å), 2θ/deg, intensity
3.750, 23.73, 45.5
3.676, 24.21, 42.9
2.415, 37.22, 100.0
2.362, 38.09, 13.7
2.180, 41.42, 18.5
2.077, 43.58, 16.1
2.027, 44.71, 14.9
1.300, 72.77, 13.9